For LiNbSe3, a DFT-relaxed cell (GGA-PBE, Alexandria) gives the computed powder diffractogram in this record (Cu Kα X-rays).
Intensities are scaled so that the largest is 100.

Main lines, most intense first (10° ≤ 2θ ≤ 80°):
14.9°, d 5.954, intensity 100
12.7°, d 6.967, intensity 88
25.8°, d 3.449, intensity 85
37.1°, d 2.423, intensity 76
45.8°, d 1.982, intensity 61
14.7°, d 6.013, intensity 59
19.6°, d 4.526, intensity 57
34.6°, d 2.589, intensity 55
45.2°, d 2.004, intensity 49
25.6°, d 3.484, intensity 47

Structural model:
Unit cell a=3.2315 b=11.9073 c=7.1518 alpha=90.00 beta=103.05 gamma=90.00
Element x y z (fractional)
Li 0.0142 0.2500 0.4870
Li 0.9858 0.7500 0.5130
Nb 0.2494 0.7500 0.0940
Nb 0.7506 0.2500 0.9060
Se 0.1422 0.1019 0.7559
Se 0.1422 0.3981 0.7559
Se 0.3699 0.2500 0.1946
Se 0.6301 0.7500 0.8054
Se 0.8578 0.6019 0.2441
Se 0.8578 0.8981 0.2441


For SrLi2Nd2Si2, a DFT-relaxed cell (GGA-PBE, Alexandria) gives the computed powder diffractogram in this record (Cu Kα X-rays).
Intensities are scaled so that the largest is 100.

Main lines, most intense first (10° ≤ 2θ ≤ 80°):
22.3°, d 3.992, intensity 100
33.7°, d 2.657, intensity 82
31.4°, d 2.853, intensity 64
38.7°, d 2.328, intensity 61
52.2°, d 1.751, intensity 23
66.9°, d 1.400, intensity 22
63.5°, d 1.465, intensity 20
25.4°, d 3.502, intensity 20
50.6°, d 1.804, intensity 19
65.5°, d 1.426, intensity 16

Structural model:
Unit cell a=9.7958 b=9.7958 c=9.7958 alpha=27.50 beta=27.50 gamma=27.50
Element x y z (fractional)
Sr 0.0000 0.0000 0.0000
Li 0.4099 0.4099 0.4099
Li 0.5901 0.5901 0.5901
Nd 0.1292 0.1292 0.1292
Nd 0.8708 0.8708 0.8708
Si 0.2527 0.2527 0.2527
Si 0.7473 0.7473 0.7473


For Li2Ta2NbS6, a DFT-relaxed cell (GGA-PBE, Alexandria) gives the computed powder diffractogram in this record (Cu Kα X-rays).
Intensities are scaled so that the largest is 100.

Main lines, most intense first (10° ≤ 2θ ≤ 80°):
13.7°, d 6.480, intensity 100
35.0°, d 2.562, intensity 36
36.4°, d 2.471, intensity 22
30.2°, d 2.958, intensity 21
31.1°, d 2.879, intensity 14
48.7°, d 1.870, intensity 14
38.3°, d 2.350, intensity 11
53.9°, d 1.700, intensity 10
44.2°, d 2.050, intensity 10
47.9°, d 1.898, intensity 8

Structural model:
Unit cell a=5.9733 b=5.9733 c=6.7113 alpha=97.33 beta=97.33 gamma=121.34
Element x y z (fractional)
Li 0.1732 0.8268 0.0000
Li 0.8268 0.1732 0.0000
Ta 0.3616 0.6384 0.5000
Ta 0.6384 0.3616 0.5000
Nb 0.0000 0.0000 0.5000
S 0.0617 0.4080 0.7275
S 0.2511 0.2511 0.2399
S 0.4080 0.0617 0.7275
S 0.5920 0.9383 0.2725
S 0.7489 0.7489 0.7601
S 0.9383 0.5920 0.2725


For CsIn3Au3, a DFT-relaxed cell (GGA-PBE, Alexandria) gives the computed powder diffractogram in this record (Cu Kα X-rays).
Intensities are scaled so that the largest is 100.

Main lines, most intense first (10° ≤ 2θ ≤ 80°):
28.1°, d 3.174, intensity 100
43.6°, d 2.078, intensity 61
40.2°, d 2.244, intensity 44
22.9°, d 3.888, intensity 42
46.7°, d 1.944, intensity 37
16.1°, d 5.498, intensity 31
68.2°, d 1.374, intensity 24
75.4°, d 1.261, intensity 18
65.8°, d 1.420, intensity 18
52.6°, d 1.739, intensity 17

Structural model:
Unit cell a=7.7751 b=7.7751 c=7.7751 alpha=90.00 beta=90.00 gamma=90.00
Element x y z (fractional)
Cs 0.0000 0.0000 0.0000
Cs 0.5000 0.5000 0.5000
In 0.0000 0.2500 0.5000
In 0.0000 0.7500 0.5000
In 0.2500 0.5000 0.0000
In 0.5000 0.0000 0.2500
In 0.5000 0.0000 0.7500
In 0.7500 0.5000 0.0000
Au 0.0000 0.5000 0.2500
Au 0.0000 0.5000 0.7500
Au 0.2500 0.0000 0.5000
Au 0.5000 0.2500 0.0000
Au 0.5000 0.7500 0.0000
Au 0.7500 0.0000 0.5000


For GdErAl6, a DFT-relaxed cell (GGA-PBE, Alexandria) gives the computed powder diffractogram in this record (Cu Kα X-rays).
Intensities are scaled so that the largest is 100.

Main lines, most intense first (10° ≤ 2θ ≤ 80°):
23.7°, d 3.759, intensity 100
26.9°, d 3.316, intensity 100
37.7°, d 2.386, intensity 97
39.9°, d 2.260, intensity 95
28.9°, d 3.088, intensity 94
17.1°, d 5.185, intensity 54
38.3°, d 2.348, intensity 46
48.7°, d 1.869, intensity 43
33.8°, d 2.653, intensity 43
73.4°, d 1.290, intensity 38

Structural model:
Unit cell a=14.5327 b=14.5327 c=14.5327 alpha=24.53 beta=24.53 gamma=24.53
Element x y z (fractional)
Gd 0.0000 0.0000 0.0000
Gd 0.2176 0.2176 0.2176
Gd 0.7180 0.7180 0.7180
Er 0.1089 0.1089 0.1089
Er 0.5000 0.5000 0.5000
Er 0.6088 0.6088 0.6088
Al 0.0330 0.4790 0.4790
Al 0.1085 0.1085 0.6093
Al 0.1085 0.6093 0.1085
Al 0.1104 0.6085 0.6085
Al 0.1852 0.7381 0.7381
Al 0.2388 0.2388 0.6848
Al 0.2388 0.6848 0.2388
Al 0.4790 0.0330 0.4790
Al 0.4790 0.4790 0.0330
Al 0.5334 0.9788 0.9788
Al 0.6085 0.1104 0.6085
Al 0.6085 0.6085 0.1104
Al 0.6093 0.1085 0.1085
Al 0.6848 0.2388 0.2388
Al 0.7381 0.1852 0.7381
Al 0.7381 0.7381 0.1852
Al 0.9788 0.5334 0.9788
Al 0.9788 0.9788 0.5334


For Sr2AlZnCd6, a DFT-relaxed cell (GGA-PBE, Alexandria) gives the computed powder diffractogram in this record (Cu Kα X-rays).
Intensities are scaled so that the largest is 100.

Main lines, most intense first (10° ≤ 2θ ≤ 80°):
30.8°, d 2.899, intensity 100
29.6°, d 3.020, intensity 97
37.5°, d 2.401, intensity 69
38.1°, d 2.365, intensity 47
33.8°, d 2.655, intensity 39
35.1°, d 2.559, intensity 37
46.8°, d 1.941, intensity 37
26.2°, d 3.401, intensity 28
16.7°, d 5.310, intensity 28
51.3°, d 1.781, intensity 22

Structural model:
Unit cell a=7.7696 b=9.6031 c=7.2733 alpha=90.00 beta=90.00 gamma=90.00
Element x y z (fractional)
Sr 0.2500 0.0157 0.2331
Sr 0.2500 0.4843 0.2331
Sr 0.7500 0.5157 0.7669
Sr 0.7500 0.9843 0.7669
Al 0.2500 0.7500 0.9219
Al 0.7500 0.2500 0.0781
Zn 0.2500 0.2500 0.5597
Zn 0.7500 0.7500 0.4403
Cd 0.0526 0.2500 0.8906
Cd 0.0664 0.7500 0.5547
Cd 0.2500 0.5012 0.7367
Cd 0.2500 0.9988 0.7367
Cd 0.4336 0.7500 0.5547
Cd 0.4474 0.2500 0.8906
Cd 0.5526 0.7500 0.1094
Cd 0.5664 0.2500 0.4453
Cd 0.7500 0.0012 0.2633
Cd 0.7500 0.4988 0.2633
Cd 0.9336 0.2500 0.4453
Cd 0.9474 0.7500 0.1094


For Y4ScCl, a DFT-relaxed cell (GGA-PBE, Alexandria) gives the computed powder diffractogram in this record (Cu Kα X-rays).
Intensities are scaled so that the largest is 100.

Main lines, most intense first (10° ≤ 2θ ≤ 80°):
32.1°, d 2.789, intensity 100
33.6°, d 2.670, intensity 68
16.6°, d 5.340, intensity 46
51.3°, d 1.780, intensity 34
56.3°, d 1.635, intensity 32
67.1°, d 1.394, intensity 26
39.0°, d 2.312, intensity 20
79.6°, d 1.204, intensity 20
42.6°, d 2.122, intensity 12
66.3°, d 1.410, intensity 11

Structural model:
Unit cell a=6.5398 b=6.5398 c=6.5398 alpha=60.00 beta=60.00 gamma=60.00
Element x y z (fractional)
Y 0.3773 0.3773 0.3773
Y 0.3773 0.3773 0.8680
Y 0.3773 0.8680 0.3773
Y 0.8680 0.3773 0.3773
Sc 0.7500 0.7500 0.7500
Cl 0.0000 0.0000 0.0000


For HoScPdRu, a DFT-relaxed cell (GGA-PBE, Alexandria) gives the computed powder diffractogram in this record (Cu Kα X-rays).
Intensities are scaled so that the largest is 100.

Main lines, most intense first (10° ≤ 2θ ≤ 80°):
38.1°, d 2.363, intensity 100
37.9°, d 2.373, intensity 52
68.6°, d 1.368, intensity 34
29.8°, d 2.997, intensity 21
54.7°, d 1.678, intensity 18
13.3°, d 6.657, intensity 17
68.9°, d 1.363, intensity 16
55.2°, d 1.664, intensity 8
56.8°, d 1.621, intensity 6
63.5°, d 1.464, intensity 5

Structural model:
Unit cell a=3.3561 b=3.3561 c=6.6570 alpha=90.00 beta=90.00 gamma=90.00
Element x y z (fractional)
Ho 0.0000 0.0000 0.0000
Sc 0.0000 0.0000 0.5203
Pd 0.5000 0.5000 0.2730
Ru 0.5000 0.5000 0.7436


For Ho2ErGa2Cu2, a DFT-relaxed cell (GGA-PBE, Alexandria) gives the computed powder diffractogram in this record (Cu Kα X-rays).
Intensities are scaled so that the largest is 100.

Main lines, most intense first (10° ≤ 2θ ≤ 80°):
35.5°, d 2.529, intensity 100
41.5°, d 2.176, intensity 88
33.1°, d 2.710, intensity 66
23.8°, d 3.734, intensity 47
67.1°, d 1.396, intensity 29
55.7°, d 1.650, intensity 27
71.8°, d 1.315, intensity 25
54.0°, d 1.697, intensity 16
70.4°, d 1.338, intensity 15
75.7°, d 1.256, intensity 15

Structural model:
Unit cell a=9.4369 b=9.4369 c=9.4369 alpha=26.67 beta=26.67 gamma=26.67
Element x y z (fractional)
Ho 0.1235 0.1235 0.1235
Ho 0.8765 0.8765 0.8765
Er 0.0000 0.0000 0.0000
Ga 0.2645 0.2645 0.2645
Ga 0.7355 0.7355 0.7355
Cu 0.3965 0.3965 0.3965
Cu 0.6035 0.6035 0.6035


For KTi6O12, a DFT-relaxed cell (GGA-PBE, Alexandria) gives the computed powder diffractogram in this record (Cu Kα X-rays).
Intensities are scaled so that the largest is 100.

Main lines, most intense first (10° ≤ 2θ ≤ 80°):
27.4°, d 3.253, intensity 100
35.9°, d 2.501, intensity 67
17.2°, d 5.143, intensity 62
12.2°, d 7.273, intensity 59
57.3°, d 1.608, intensity 46
47.5°, d 1.913, intensity 42
66.1°, d 1.414, intensity 34
40.1°, d 2.249, intensity 34
53.5°, d 1.714, intensity 27
34.9°, d 2.571, intensity 17

Structural model:
Unit cell a=8.5368 b=8.5368 c=8.5368 alpha=105.91 beta=105.91 gamma=116.85
Element x y z (fractional)
K 0.2237 0.2237 0.0000
K 0.7763 0.7763 0.0000
Ti 0.0172 0.8327 0.5178
Ti 0.1673 0.6852 0.1845
Ti 0.1708 0.6503 0.8211
Ti 0.3148 0.4994 0.4822
Ti 0.3497 0.1708 0.5205
Ti 0.4994 0.0172 0.1845
Ti 0.5006 0.9828 0.8155
Ti 0.6503 0.8292 0.4795
Ti 0.6852 0.5006 0.5178
Ti 0.8292 0.3497 0.1789
Ti 0.8327 0.3148 0.8155
Ti 0.9828 0.1673 0.4822
O 0.1270 0.5006 0.2936
O 0.1277 0.4894 0.9508
O 0.1555 0.2050 0.3605
O 0.1643 0.4603 0.6246
O 0.1666 0.8730 0.3736
O 0.1769 0.1277 0.6384
O 0.2050 0.8445 0.0495
O 0.2071 0.8334 0.7064
O 0.4603 0.8357 0.2961
O 0.4614 0.8231 0.9508
O 0.4894 0.5386 0.3616
O 0.4994 0.7929 0.6264
O 0.5006 0.2071 0.3736
O 0.5106 0.4614 0.6384
O 0.5386 0.1769 0.0492
O 0.5397 0.1643 0.7039
O 0.7929 0.1666 0.2936
O 0.7950 0.1555 0.9505
O 0.8231 0.8723 0.3616
O 0.8334 0.1270 0.6264
O 0.8357 0.5397 0.3754
O 0.8445 0.7950 0.6395
O 0.8723 0.5106 0.0492
O 0.8730 0.4994 0.7064


For Cu2BiPd9, a DFT-relaxed cell (GGA-PBE, Alexandria) gives the computed powder diffractogram in this record (Cu Kα X-rays).
Intensities are scaled so that the largest is 100.

Main lines, most intense first (10° ≤ 2θ ≤ 80°):
39.3°, d 2.294, intensity 100
45.3°, d 2.002, intensity 34
79.6°, d 1.205, intensity 25
66.8°, d 1.400, intensity 18
46.4°, d 1.957, intensity 14
66.0°, d 1.416, intensity 11
35.2°, d 2.551, intensity 5
23.5°, d 3.791, intensity 4
26.9°, d 3.309, intensity 3
72.5°, d 1.303, intensity 3

Structural model:
Unit cell a=4.0050 b=4.0050 c=11.7432 alpha=90.00 beta=90.00 gamma=90.00
Element x y z (fractional)
Cu 0.0000 0.0000 0.1568
Cu 0.0000 0.0000 0.8432
Bi 0.0000 0.0000 0.5000
Pd 0.0000 0.5000 0.0000
Pd 0.0000 0.5000 0.3179
Pd 0.0000 0.5000 0.6821
Pd 0.5000 0.0000 0.0000
Pd 0.5000 0.0000 0.3179
Pd 0.5000 0.0000 0.6821
Pd 0.5000 0.5000 0.1587
Pd 0.5000 0.5000 0.5000
Pd 0.5000 0.5000 0.8413


For K2Tl3I2Cl4, a DFT-relaxed cell (GGA-PBE, Alexandria) gives the computed powder diffractogram in this record (Cu Kα X-rays).
Intensities are scaled so that the largest is 100.

Main lines, most intense first (10° ≤ 2θ ≤ 80°):
15.9°, d 5.587, intensity 100
34.6°, d 2.595, intensity 96
22.0°, d 4.038, intensity 96
31.3°, d 2.855, intensity 76
27.8°, d 3.204, intensity 68
42.4°, d 2.131, intensity 44
57.9°, d 1.593, intensity 43
41.4°, d 2.183, intensity 36
35.3°, d 2.542, intensity 30
26.3°, d 3.386, intensity 29

Structural model:
Unit cell a=14.1342 b=14.1342 c=14.1342 alpha=156.69 beta=156.69 gamma=33.20
Element x y z (fractional)
K 0.1110 0.1110 0.0000
K 0.8890 0.8890 0.0000
Tl 0.3680 0.3680 0.0000
Tl 0.5000 0.5000 0.0000
Tl 0.6320 0.6320 0.0000
I 0.2425 0.2425 0.0000
I 0.7575 0.7575 0.0000
Cl 0.0767 0.5767 0.5000
Cl 0.4233 0.9233 0.5000
Cl 0.5767 0.0767 0.5000
Cl 0.9233 0.4233 0.5000


For NaLiPb2F6, a DFT-relaxed cell (GGA-PBE, Alexandria) gives the computed powder diffractogram in this record (Cu Kα X-rays).
Intensities are scaled so that the largest is 100.

Main lines, most intense first (10° ≤ 2θ ≤ 80°):
21.1°, d 4.219, intensity 100
29.1°, d 3.068, intensity 65
36.2°, d 2.481, intensity 43
30.8°, d 2.905, intensity 39
47.1°, d 1.929, intensity 29
42.9°, d 2.109, intensity 27
35.1°, d 2.557, intensity 23
52.7°, d 1.738, intensity 22
19.2°, d 4.627, intensity 21
51.6°, d 1.771, intensity 20

Structural model:
Unit cell a=5.8270 b=5.8270 c=5.8270 alpha=63.54 beta=63.54 gamma=63.54
Element x y z (fractional)
Na 0.0000 0.0000 0.0000
Li 0.5000 0.5000 0.5000
Pb 0.2753 0.2753 0.2753
Pb 0.7247 0.7247 0.7247
F 0.1717 0.6931 0.3543
F 0.3069 0.6457 0.8283
F 0.3543 0.1717 0.6931
F 0.6457 0.8283 0.3069
F 0.6931 0.3543 0.1717
F 0.8283 0.3069 0.6457